1.
The following is a calculated X-ray diffraction stick pattern of Dy14TmPa. It was derived from a cell relaxed with PBE, using Cu Kα (λ = 1.5418 Å).
No peak broadening, texture or thermal motion is included.

Principal peaks in the range 10 to 90 degrees two-theta, in order of rising 2θ:
| 2theta | I/Imax |
| --- | --- |
| 31.12 | 1000 |
| 36.04 | 339 |
| 36.19 | 167 |
| 51.88 | 120 |
| 52.00 | 238 |
| 61.74 | 284 |
| 61.95 | 139 |
| 64.89 | 122 |
| 84.98 | 117 |
| 87.57 | 111 |

Structure:
```
data_Dy14TmPa
_cell_length_a 7.0495
_cell_length_b 7.0495
_cell_length_c 9.9286
_cell_angle_alpha 90.00
_cell_angle_beta 90.00
_cell_angle_gamma 90.00
_symmetry_space_group_name_H-M 'P 4/m m m'
_symmetry_Int_Tables_number 123
_symmetry_space_group_name_Hall '-P 4 2'
loop_
_atom_site_label
_atom_site_fract_x
_atom_site_fract_y
_atom_site_fract_z
Dy1 0.0000 0.0000 0.0000
Dy2 0.0000 0.5000 0.0000
Dy3 0.0000 0.5000 0.5000
Dy4 0.2449 0.2449 0.2552
Dy5 0.5000 0.5000 0.0000
Tm1 0.5000 0.5000 0.5000
Pa1 0.0000 0.0000 0.5000
```


2.
The following is a calculated X-ray diffraction stick pattern of Cu2PdBr4. It was derived from a cell relaxed with PBE, using Cu Kα (λ = 1.5418 Å).
No peak broadening, texture or thermal motion is included.

Principal peaks in the range 10 to 90 degrees two-theta, in order of rising 2θ:
| 2theta | I/Imax |
| --- | --- |
| 16.03 | 190 |
| 17.71 | 1000 |
| 27.34 | 238 |
| 28.97 | 892 |
| 31.85 | 226 |
| 36.34 | 223 |
| 44.00 | 244 |
| 46.06 | 867 |
| 49.35 | 196 |
| 52.33 | 295 |

Structure:
```
data_Cu2PdBr4
_cell_length_a 7.8183
_cell_length_b 7.8183
_cell_length_c 6.5248
_cell_angle_alpha 90.00
_cell_angle_beta 90.00
_cell_angle_gamma 90.00
_symmetry_space_group_name_H-M 'I 4/m'
_symmetry_Int_Tables_number 87
_symmetry_space_group_name_Hall '-I 4'
loop_
_atom_site_label
_atom_site_fract_x
_atom_site_fract_y
_atom_site_fract_z
Cu1 0.0000 0.5000 0.2500
Pd1 0.0000 0.0000 0.0000
Br1 0.1207 0.7028 0.0000
```